For AcTl2Hg2Te4, a crystal structure in Alexandria, relaxed with GGA-PBE gives the calculated X-ray powder pattern in this record (Cu Ka).

Crystal structure
Cell lengths 8.697, 8.697, 8.550 Å; angles 107.74, 107.74, 31.75 degrees
Sites, in units of the cell vectors:
Ac1 0.000 0.000 0.000
Tl1 0.129 0.129 0.551
Tl2 0.871 0.871 0.449
Hg1 0.333 0.333 0.005
Hg2 0.667 0.667 0.995
Te1 0.213 0.213 0.213
Te2 0.496 0.496 0.272
Te3 0.504 0.504 0.728
Te4 0.787 0.787 0.787

Peak list (12 most intense, 5° ≤ 2θ ≤ 70°, sorted by position)
10.91°, d = 8.110 Å, I 25
25.24°, d = 3.528 Å, I 49
25.97°, d = 3.430 Å, I 30
28.07°, d = 3.179 Å, I 61
29.61°, d = 3.017 Å, I 100
29.79°, d = 2.999 Å, I 51
32.10°, d = 2.788 Å, I 22
33.90°, d = 2.644 Å, I 24
37.09°, d = 2.424 Å, I 39
37.82°, d = 2.379 Å, I 45
46.42°, d = 1.956 Å, I 30
55.78°, d = 1.648 Å, I 22


For BeBCl, a crystal structure in Alexandria, relaxed with GGA-PBE gives the calculated X-ray powder pattern in this record (Cu Ka).

Crystal structure
Cell lengths 5.351, 3.090, 9.966 Å; angles 90.00, 98.96, 90.00 degrees
Sites, in units of the cell vectors:
Be1 0.216 0.000 0.173
Be2 0.284 0.500 0.827
Be3 0.716 0.500 0.173
Be4 0.784 0.000 0.827
B1 0.162 0.000 0.987
B2 0.338 0.500 0.013
B3 0.662 0.500 0.987
B4 0.838 0.000 0.013
Cl1 0.085 0.500 0.294
Cl2 0.415 0.000 0.706
Cl3 0.585 0.000 0.294
Cl4 0.915 0.500 0.706

Peak list (12 most intense, 5° ≤ 2θ ≤ 70°, sorted by position)
18.02°, d = 4.922 Å, I 100
27.17°, d = 3.282 Å, I 44
33.60°, d = 2.668 Å, I 36
35.55°, d = 2.525 Å, I 32
35.98°, d = 2.496 Å, I 22
36.54°, d = 2.459 Å, I 50
37.05°, d = 2.427 Å, I 77
45.47°, d = 1.995 Å, I 20
47.41°, d = 1.917 Å, I 13
48.30°, d = 1.884 Å, I 21
59.88°, d = 1.545 Å, I 30
60.61°, d = 1.528 Å, I 17